1.
Diffraction record for Na3Ag3W2O6F6. The X-ray diffraction stick pattern is simulated, not measured: it uses a GGA+U-relaxed structure and copper Kα.
Kinematic intensities with the Lorentz-polarization factor, no thermal factor.

Structural model:
```
data_Na3Ag3W2O6F6
_space_group_name_H-M_alt 'P 1'
_space_group_IT_number 1
_cell_length_a 10.3052
_cell_length_b 10.3052
_cell_length_c 10.3052
_cell_angle_alpha 32.91
_cell_angle_beta 32.91
_cell_angle_gamma 32.91
loop_
_space_group_symop_operation_xyz
'x,y,z'
loop_
_atom_site_label
_atom_site_fract_x
_atom_site_fract_y
_atom_site_fract_z
Na1 0.0000 0.0000 0.0000
Na2 0.3663 0.3663 0.3663
Na3 0.6337 0.6337 0.6337
Ag1 0.1298 0.1298 0.1298
Ag2 0.5000 0.5000 0.5000
Ag3 0.8702 0.8702 0.8702
W1 0.2458 0.2458 0.2458
W2 0.7542 0.7542 0.7542
O1 0.0766 0.7492 0.5207
O2 0.2508 0.4793 0.9234
O3 0.4793 0.9234 0.2508
O4 0.5207 0.0766 0.7492
O5 0.7492 0.5207 0.0766
O6 0.9234 0.2508 0.4793
F1 0.0544 0.5708 0.2617
F2 0.2617 0.0544 0.5708
F3 0.4292 0.7383 0.9456
F4 0.5708 0.2617 0.0544
F5 0.7383 0.9456 0.4292
F6 0.9456 0.4292 0.7383
```

Top 10 peaks for 2θ from 15° to 90°, low angle first:
2θ 18.6, d = 4.778 Å, rel. 51
2θ 21.4, d = 4.157 Å, rel. 33
2θ 30.2, d = 2.960 Å, rel. 100
2θ 30.6, d = 2.919 Å, rel. 88
2θ 32.0, d = 2.796 Å, rel. 22
2θ 43.5, d = 2.078 Å, rel. 49
2θ 53.3, d = 1.717 Å, rel. 17
2θ 54.2, d = 1.693 Å, rel. 43
2θ 54.4, d = 1.685 Å, rel. 27
2θ 71.5, d = 1.320 Å, rel. 16

2.
Diffraction record for Na2VAgF6. The X-ray diffraction stick pattern is simulated, not measured: it uses a GGA+U-relaxed structure and copper Kα.
Kinematic intensities with the Lorentz-polarization factor, no thermal factor.

Structural model:
```
data_Na2VAgF6
_space_group_name_H-M_alt 'P 1'
_space_group_IT_number 1
_cell_length_a 6.0893
_cell_length_b 6.0893
_cell_length_c 6.0893
_cell_angle_alpha 60.00
_cell_angle_beta 60.00
_cell_angle_gamma 60.00
loop_
_space_group_symop_operation_xyz
'x,y,z'
loop_
_atom_site_label
_atom_site_fract_x
_atom_site_fract_y
_atom_site_fract_z
Na1 0.2500 0.2500 0.2500
Na2 0.7500 0.7500 0.7500
V1 0.0000 0.0000 0.0000
Ag1 0.5000 0.5000 0.5000
F1 0.2259 0.2259 0.7741
F2 0.2259 0.7741 0.2259
F3 0.2259 0.7741 0.7741
F4 0.7741 0.2259 0.2259
F5 0.7741 0.2259 0.7741
F6 0.7741 0.7741 0.2259
```

Top 10 peaks for 2θ from 15° to 90°, low angle first:
2θ 20.6, d = 4.306 Å, rel. 98
2θ 29.3, d = 3.045 Å, rel. 100
2θ 34.5, d = 2.596 Å, rel. 19
2θ 42.0, d = 2.153 Å, rel. 61
2θ 47.2, d = 1.926 Å, rel. 35
2θ 52.0, d = 1.758 Å, rel. 36
2θ 60.8, d = 1.522 Å, rel. 33
2θ 65.0, d = 1.435 Å, rel. 15
2θ 69.0, d = 1.362 Å, rel. 18
2θ 84.1, d = 1.151 Å, rel. 19